No. 1
Structure and calculated XRD peak list of Rb3CdSe2O8 (a structure optimized by DFT (GGA-PBE); λ = 1.5418 Å (Cu Kα)).

Peak list (8 most intense, 2θ from 15° to 90°, low angle first)
27.86°, intensity 87
28.91°, intensity 100
40.58°, intensity 45
50.58°, intensity 30
51.23°, intensity 19
54.69°, intensity 14
59.89°, intensity 17
67.31°, intensity 14

Structure:
```
Rb3CdSe2O8
1.0
6.178 0.000 0.000
-3.089 5.350 0.000
0.000 0.000 7.996
Rb Cd Se O
3 1 2 8
Direct
0.000 0.000 0.000
0.333 0.667 0.682
0.667 0.333 0.318
0.000 0.000 0.500
0.333 0.667 0.238
0.667 0.333 0.762
0.183 0.365 0.315
0.183 0.817 0.315
0.333 0.667 0.029
0.365 0.183 0.685
0.635 0.817 0.315
0.667 0.333 0.971
0.817 0.183 0.685
0.817 0.635 0.685
```

No. 2
Structure and calculated XRD peak list of Rb3TaCd2O6 (a structure optimized by DFT (GGA-PBE); λ = 1.5418 Å (Cu Kα)).

Peak list (8 most intense, 2θ from 15° to 90°, low angle first)
27.75°, intensity 51
31.55°, intensity 100
35.43°, intensity 81
35.72°, intensity 39
48.73°, intensity 29
53.57°, intensity 23
61.20°, intensity 23
65.88°, intensity 18

Structure:
```
Rb3TaCd2O6
1.0
2.960 -5.151 0.000
2.960 5.151 0.000
-1.924 0.000 6.430
Rb Ta Cd O
3 1 2 6
Direct
0.000 0.000 0.000
0.327 0.673 0.000
0.673 0.327 0.000
0.500 0.500 0.500
0.166 0.834 0.500
0.834 0.166 0.500
0.153 0.439 0.324
0.276 0.276 0.682
0.439 0.153 0.324
0.561 0.847 0.676
0.724 0.724 0.318
0.847 0.561 0.676
```

No. 3
Structure and calculated XRD peak list of Rb2CdTcO6 (a structure optimized by DFT (GGA-PBE); λ = 1.5418 Å (Cu Kα)).

Peak list (8 most intense, 2θ from 15° to 90°, low angle first)
16.09°, intensity 84
22.34°, intensity 38
28.06°, intensity 100
35.20°, intensity 55
36.16°, intensity 35
45.60°, intensity 45
49.65°, intensity 19
54.40°, intensity 39

Structure:
```
Rb2CdTcO6
1.0
6.361 0.000 0.000
-3.180 5.509 0.000
0.000 0.000 5.753
Rb Cd Tc O
2 1 1 6
Direct
0.333 0.667 0.335
0.667 0.333 0.665
0.000 0.000 0.000
0.000 0.000 0.500
0.140 0.279 0.696
0.140 0.860 0.696
0.279 0.140 0.304
0.721 0.860 0.696
0.860 0.140 0.304
0.860 0.721 0.304
```

No. 4
Structure and calculated XRD peak list of Rb2CdTeO6 (a structure optimized by DFT (GGA-PBE); λ = 1.5418 Å (Cu Kα)).

Peak list (8 most intense, 2θ from 15° to 90°, low angle first)
20.65°, intensity 9
29.36°, intensity 100
42.01°, intensity 32
52.08°, intensity 39
60.91°, intensity 19
69.04°, intensity 18
76.75°, intensity 6
84.22°, intensity 21

Structure:
```
Rb2CdTeO6
1.0
0.000 4.302 4.302
4.302 0.000 4.302
4.302 4.302 0.000
Rb Cd Te O
2 1 1 6
Direct
0.250 0.250 0.250
0.750 0.750 0.750
0.000 0.000 0.000
0.500 0.500 0.500
0.274 0.274 0.726
0.274 0.726 0.274
0.274 0.726 0.726
0.726 0.274 0.274
0.726 0.274 0.726
0.726 0.726 0.274
```

No. 5
Structure and calculated XRD peak list of RbCd2Te2O6 (a structure optimized by DFT (GGA-PBE); λ = 1.5418 Å (Cu Kα)).

Peak list (8 most intense, 2θ from 15° to 90°, low angle first)
25.02°, intensity 70
25.40°, intensity 67
26.82°, intensity 19
30.58°, intensity 57
32.42°, intensity 100
33.31°, intensity 28
37.08°, intensity 26
37.89°, intensity 19

Structure:
```
RbCd2Te2O6
1.0
5.847 0.000 0.000
-0.037 6.361 0.000
-2.807 -2.746 6.649
Rb Cd Te O
1 2 2 6
Direct
0.000 0.000 0.000
0.297 0.657 0.597
0.703 0.343 0.403
0.286 0.146 0.575
0.714 0.854 0.425
0.095 0.389 0.650
0.387 0.036 0.790
0.449 0.610 0.349
0.551 0.390 0.651
0.613 0.964 0.210
0.905 0.611 0.350
```

Repeat the first record exactly.
Structure and calculated XRD peak list of Rb3CdSe2O8 (a structure optimized by DFT (GGA-PBE); λ = 1.5418 Å (Cu Kα)).

Peak list (8 most intense, 2θ from 15° to 90°, low angle first)
27.86°, intensity 87
28.91°, intensity 100
40.58°, intensity 45
50.58°, intensity 30
51.23°, intensity 19
54.69°, intensity 14
59.89°, intensity 17
67.31°, intensity 14

Structure:
```
Rb3CdSe2O8
1.0
6.178 0.000 0.000
-3.089 5.350 0.000
0.000 0.000 7.996
Rb Cd Se O
3 1 2 8
Direct
0.000 0.000 0.000
0.333 0.667 0.682
0.667 0.333 0.318
0.000 0.000 0.500
0.333 0.667 0.238
0.667 0.333 0.762
0.183 0.365 0.315
0.183 0.817 0.315
0.333 0.667 0.029
0.365 0.183 0.685
0.635 0.817 0.315
0.667 0.333 0.971
0.817 0.183 0.685
0.817 0.635 0.685
```